The following is a simulated X-ray diffraction stick pattern of PrThNi2. It was derived from a PBE-relaxed structure, using Cu Kα (λ = 1.5418 Å).

Largest 10 diffraction maxima, by intensity, 2θ = 10–80°:
- 2θ = 32.92°, I 100.0, hkl 1 1 -1
- 2θ = 26.28°, I 52.9, hkl 0 1 1
- 2θ = 31.89°, I 38.7, hkl 0 0 2
- 2θ = 40.14°, I 33.6, hkl 1 1 1
- 2θ = 40.24°, I 32.4, hkl 1 1 -2
- 2θ = 42.49°, I 27.4, hkl 0 2 0
- 2θ = 34.00°, I 20.4, hkl 1 0 -2
- 2θ = 55.46°, I 20.3, hkl 1 2 -2
- 2θ = 33.89°, I 20.3, hkl 1 0 1
- 2θ = 48.85°, I 18.2, hkl 2 0 -1

Atomic structure:
```
PrThNi2
1.0
3.729 0.000 0.000
0.000 4.255 0.000
-1.846 0.000 5.612
Pr Th Ni
1 1 2
Cartesian
0.000 0.000 0.000 Pr
1.885 2.128 2.628 Th
0.022 0.000 3.071 Ni
0.017 2.128 4.777 Ni
```